YHo5TlIn2: theoretical powder diffraction line list (Cu Kα (λ = 1.5418 Å)), based on DFT lattice parameters and positions (PBE).
Lines closer than 0.1° are merged.

Structural model:
Lattice parameters (Å, degrees): 9.3468 9.3468 9.3468 125.72 125.72 80.35
Element x y z (fractional)
Y  0.2500  0.7500  0.5000
Y  0.7500  0.2500  0.5000
Ho  0.0000  0.0000  0.0000
Ho  0.0766  0.5766  0.9203
Ho  0.1563  0.0766  0.5000
Ho  0.3437  0.8437  0.9203
Ho  0.4234  0.3437  0.5000
Ho  0.5000  0.5000  0.0000
Ho  0.5766  0.6563  0.5000
Ho  0.6563  0.1563  0.0797
Ho  0.8437  0.9234  0.5000
Ho  0.9234  0.4234  0.0797
Tl  0.2500  0.2500  0.0000
Tl  0.7500  0.7500  0.0000
In  0.1105  0.3895  0.5000
In  0.3895  0.8895  0.2790
In  0.6105  0.1105  0.7210
In  0.8895  0.6105  0.5000

Main lines, low angle first (2θ from 5° to 70°):
two_theta	Rel. int.
29.63	53.9
30.02	34.9
32.71	100.0
33.22	19.1
38.58	14.4
39.41	9.6
44.28	18.8
47.96	8.9
51.17	12.0
54.56	21.7
60.24	13.4
61.20	10.5

Mg4Ag: theoretical powder diffraction line list (Cu Kα (λ = 1.5418 Å)), based on DFT lattice parameters and positions (PBE).
Lines closer than 0.1° are merged.

Structural model:
Lattice parameters (Å, degrees): 3.3291 3.7121 16.9260 90.00 90.00 90.00
Element x y z (fractional)
Mg  0.0000  0.0000  0.0891
Mg  0.0000  0.0000  0.3032
Mg  0.0000  0.0000  0.6968
Mg  0.0000  0.0000  0.9109
Mg  0.5000  0.5000  0.1968
Mg  0.5000  0.5000  0.4109
Mg  0.5000  0.5000  0.5891
Mg  0.5000  0.5000  0.8032
Ag  0.0000  0.0000  0.5000
Ag  0.5000  0.5000  0.0000

Main lines, low angle first (2θ from 5° to 70°):
two_theta	Rel. int.
10.45	100.0
20.99	20.7
24.55	24.4
27.30	18.8
28.79	12.4
35.90	55.6
36.25	55.8
37.88	66.7
42.26	13.2
63.64	19.3
66.95	16.4
67.60	16.0

Ta4BeZn: theoretical powder diffraction line list (Cu Kα (λ = 1.5418 Å)), based on DFT lattice parameters and positions (PBE).
Lines closer than 0.1° are merged.

Structural model:
Lattice parameters (Å, degrees): 6.1725 6.1725 5.0018 90.00 90.00 90.00
Element x y z (fractional)
Ta  0.1403  0.3253  0.0000
Ta  0.1403  0.6747  0.5000
Ta  0.3253  0.1403  0.5000
Ta  0.3253  0.8597  0.0000
Ta  0.6747  0.1403  0.0000
Ta  0.6747  0.8597  0.5000
Ta  0.8597  0.3253  0.5000
Ta  0.8597  0.6747  0.0000
Be  0.0000  0.0000  0.2500
Be  0.0000  0.0000  0.7500
Zn  0.5000  0.5000  0.2500
Zn  0.5000  0.5000  0.7500

Main lines, low angle first (2θ from 5° to 70°):
two_theta	Rel. int.
20.35	6.4
28.93	6.6
32.43	7.1
35.91	19.4
37.20	100.0
41.62	10.3
46.53	18.4
46.75	11.5
50.17	5.6
60.13	7.5
65.03	10.0
65.39	19.5

PmSm4H10: theoretical powder diffraction line list (Cu Kα (λ = 1.5418 Å)), based on DFT lattice parameters and positions (PBE).
Lines closer than 0.1° are merged.

Structural model:
Lattice parameters (Å, degrees): 15.6761 15.6761 15.6761 13.93 13.93 13.93
Element x y z (fractional)
Pm  0.0000  0.0000  0.0000
Sm  0.1999  0.1999  0.1999
Sm  0.4002  0.4002  0.4002
Sm  0.5998  0.5998  0.5998
Sm  0.8001  0.8001  0.8001
H  0.0503  0.0503  0.0503
H  0.1500  0.1500  0.1500
H  0.2499  0.2499  0.2499
H  0.3504  0.3504  0.3504
H  0.4502  0.4502  0.4502
H  0.5498  0.5498  0.5498
H  0.6496  0.6496  0.6496
H  0.7501  0.7501  0.7501
H  0.8500  0.8500  0.8500
H  0.9497  0.9497  0.9497

Main lines, low angle first (2θ from 5° to 70°):
two_theta	Rel. int.
28.76	100.0
33.33	48.9
47.85	38.1
56.79	44.5
59.56	12.6
69.99	6.0

ThAl7Fe5: theoretical powder diffraction line list (Cu Kα (λ = 1.5418 Å)), based on DFT lattice parameters and positions (PBE).
Lines closer than 0.1° are merged.

Structural model:
Lattice parameters (Å, degrees): 6.6823 6.6823 6.6823 135.92 97.89 98.30
Element x y z (fractional)
Th  0.0000  0.0000  0.0000
Al  0.2121  0.4956  0.7166
Al  0.3295  0.9825  0.3471
Al  0.3400  0.3400  0.0000
Al  0.6354  0.9825  0.6529
Al  0.6481  0.6481  0.0000
Al  0.7641  0.2641  0.5000
Al  0.7790  0.4956  0.2834
Fe  0.2254  0.7254  0.5000
Fe  0.4903  0.4892  0.4983
Fe  0.4903  0.9920  0.0011
Fe  0.9908  0.4892  0.9989
Fe  0.9908  0.9920  0.5017

Main lines, low angle first (2θ from 5° to 70°):
two_theta	Rel. int.
14.30	65.2
20.41	47.1
28.86	66.3
28.94	45.4
35.52	16.8
35.64	20.5
41.13	25.9
41.30	100.0
41.49	71.1
49.00	18.5
59.70	16.8
68.08	16.8

Sr2LiSnRh2: theoretical powder diffraction line list (Cu Kα (λ = 1.5418 Å)), based on DFT lattice parameters and positions (PBE).
Lines closer than 0.1° are merged.

Structural model:
Lattice parameters (Å, degrees): 8.7292 8.7292 8.7292 139.82 60.70 136.50
Element x y z (fractional)
Sr  0.1707  0.2438  0.4145
Sr  0.3293  0.7438  0.0731
Sr  0.6707  0.2562  0.9269
Sr  0.8293  0.7562  0.5855
Li  0.2500  0.2500  0.0000
Li  0.7500  0.7500  0.0000
Sn  0.2500  0.7500  0.5000
Sn  0.7500  0.2500  0.5000
Rh  0.1055  0.7374  0.8429
Rh  0.3945  0.2374  0.6319
Rh  0.6055  0.7626  0.3681
Rh  0.8945  0.2626  0.1571

Main lines, low angle first (2θ from 5° to 70°):
two_theta	Rel. int.
11.75	24.3
15.91	58.2
27.58	35.4
29.80	28.2
30.07	23.8
31.27	100.0
36.62	71.5
38.37	62.0
41.05	91.3
41.41	22.6
51.13	24.5
52.89	30.9

NpGaPd3: theoretical powder diffraction line list (Cu Kα (λ = 1.5418 Å)), based on DFT lattice parameters and positions (PBE).
Lines closer than 0.1° are merged.

Structural model:
Lattice parameters (Å, degrees): 6.9280 8.3811 7.4533 90.00 122.25 90.00
Element x y z (fractional)
Np  0.0016  0.2060  0.0009
Np  0.0016  0.2940  0.5009
Np  0.9984  0.7060  0.4991
Np  0.9984  0.7940  0.9991
Ga  0.2581  0.5009  0.3267
Ga  0.2581  0.9991  0.8267
Ga  0.7419  0.0009  0.1733
Ga  0.7419  0.4991  0.6733
Pd  0.1642  0.5007  0.9104
Pd  0.1642  0.9993  0.4104
Pd  0.4115  0.5005  0.7243
Pd  0.4115  0.9995  0.2243
Pd  0.4986  0.2484  0.4991
Pd  0.4986  0.2516  0.9991
Pd  0.5014  0.7484  0.0009
Pd  0.5014  0.7516  0.5009
Pd  0.5885  0.0005  0.7757
Pd  0.5885  0.4995  0.2757
Pd  0.8358  0.0007  0.5896
Pd  0.8358  0.4993  0.0896

Main lines, low angle first (2θ from 5° to 70°):
two_theta	Rel. int.
28.32	27.3
30.51	26.8
35.15	43.8
35.64	84.0
35.75	100.0
37.46	65.7
38.59	45.7
39.01	26.5
41.53	38.4
41.88	37.2
43.18	38.0
67.94	24.8